(1)
Diffraction record for Nd8Ga2Co. The powder XRD pattern is computed, not measured: it uses DFT lattice parameters and positions (PBE) and Cu Kα, 1.54184 Å.
No peak broadening, texture or thermal motion is included.

Crystal structure
```
data_Nd8Ga2Co
_chemical_formula_sum 'Nd16 Ga4 Co2'
_symmetry_space_group_name_H-M 'C 1 2/m 1'
_symmetry_Int_Tables_number 12
_cell_length_a 18.445
_cell_length_b 5.047
_cell_length_c 6.903
_cell_angle_alpha 90.00
_cell_angle_beta 100.77
_cell_angle_gamma 90.00
loop_
_symmetry_equiv_pos_as_xyz
'x,y,z'
'-x,-y,-z'
'-x,y,-z'
'x,-y,z'
'x+1/2,y+1/2,z'
'-x+1/2,-y+1/2,-z'
'-x+1/2,y+1/2,-z'
'x+1/2,-y+1/2,z'
loop_
_atom_site_label
_atom_site_fract_x
_atom_site_fract_y
_atom_site_fract_z
_atom_site_occupancy
Nd1 0.019 0.000 0.280 1
Nd2 0.092 0.500 0.957 1
Nd3 0.149 0.500 0.475 1
Nd4 0.209 0.000 0.807 1
Ga1 0.188 0.000 0.247 1
Co1 0.000 0.500 0.500 1
```

Most intense lines, 10° ≤ 2θ ≤ 90°, in order of rising 2θ:
index, 2theta, I (rel.)
3 1 1, 27.9, 56
4 0 -2, 29.8, 41
5 1 0, 30.4, 100
1 1 -2, 31.4, 86
1 1 2, 33.0, 94
0 2 0, 35.6, 80

(2)
Diffraction record for NdGa2Co3. The powder XRD pattern is computed, not measured: it uses DFT lattice parameters and positions (PBE) and Cu Kα, 1.54184 Å.
No peak broadening, texture or thermal motion is included.

Crystal structure
```
data_NdGa2Co3
_chemical_formula_sum 'Nd1 Ga2 Co3'
_symmetry_space_group_name_H-M 'P 6/m m m'
_symmetry_Int_Tables_number 191
_symmetry_space_group_name_Hall '-P 6 2'
_cell_length_a 5.3265
_cell_length_b 5.3265
_cell_length_c 3.7430
_cell_angle_alpha 90.00
_cell_angle_beta 90.00
_cell_angle_gamma 120.00
loop_
_atom_site_label
_atom_site_fract_x
_atom_site_fract_y
_atom_site_fract_z
_atom_site_occupancy
Nd1 0.0000 0.0000 0.0000 1
Ga1 0.3333 0.6667 0.0000 1
Co1 0.0000 0.5000 0.5000 1
```

Most intense lines, 10° ≤ 2θ ≤ 90°, in order of rising 2θ:
index, 2theta, I (rel.)
1 0 1, 30.8, 33
1 1 0, 33.7, 38
2 0 0, 39.1, 32
1 1 1, 41.6, 100
0 0 2, 48.7, 19
3 0 1, 65.6, 25

(3)
Diffraction record for NdGa11Co. The powder XRD pattern is computed, not measured: it uses DFT lattice parameters and positions (PBE) and Cu Kα, 1.54184 Å.
No peak broadening, texture or thermal motion is included.

Crystal structure
```
data_NdGa11Co
_chemical_formula_sum 'Nd2 Ga22 Co2'
_symmetry_space_group_name_H-M 'C 1 2/m 1'
_symmetry_Int_Tables_number 12
_cell_length_a 5.222
_cell_length_b 12.344
_cell_length_c 7.576
_cell_angle_alpha 90.00
_cell_angle_beta 104.47
_cell_angle_gamma 90.00
loop_
_symmetry_equiv_pos_as_xyz
'x,y,z'
'-x,-y,-z'
'-x,y,-z'
'x,-y,z'
'x+1/2,y+1/2,z'
'-x+1/2,-y+1/2,-z'
'-x+1/2,y+1/2,-z'
'x+1/2,-y+1/2,z'
loop_
_atom_site_label
_atom_site_fract_x
_atom_site_fract_y
_atom_site_fract_z
_atom_site_occupancy
Nd1 0.000 0.000 0.000 1
Ga1 0.000 0.000 0.500 1
Ga2 0.124 0.393 0.236 1
Ga3 0.218 0.171 0.370 1
Ga4 0.250 0.250 0.000 1
Co1 0.000 0.500 0.500 1
```

Most intense lines, 10° ≤ 2θ ≤ 90°, in order of rising 2θ:
index, 2theta, I (rel.)
1 3 -2, 34.2, 39
1 1 2, 34.4, 64
1 1 -3, 37.3, 43
0 4 2, 38.1, 100
2 2 0, 38.5, 67
2 2 -2, 40.7, 69

(4)
Diffraction record for Ga5Co4Ni. The powder XRD pattern is computed, not measured: it uses DFT lattice parameters and positions (PBE) and Cu Kα, 1.54184 Å.
No peak broadening, texture or thermal motion is included.

Crystal structure
```
data_Ga5Co4Ni
_chemical_formula_sum 'Ga5 Co4 Ni1'
_symmetry_space_group_name_H-M 'P 4/m m m'
_symmetry_Int_Tables_number 123
_symmetry_space_group_name_Hall '-P 4 2'
_cell_length_a 2.842
_cell_length_b 2.842
_cell_length_c 14.953
_cell_angle_alpha 90.00
_cell_angle_beta 90.00
_cell_angle_gamma 90.00
loop_
_atom_site_label
_atom_site_fract_x
_atom_site_fract_y
_atom_site_fract_z
_atom_site_occupancy
Ga1 0.000 0.000 0.000 1
Ga2 0.000 0.000 0.198 1
Ga3 0.000 0.000 0.397 1
Co1 0.500 0.500 0.098 1
Co2 0.500 0.500 0.296 1
Ni1 0.500 0.500 0.500 1
```

Most intense lines, 10° ≤ 2θ ≤ 90°, in order of rising 2θ:
index, 2theta, I (rel.)
1 0 5, 43.9, 100
1 1 0, 45.1, 46
0 0 10, 62.1, 8
2 0 0, 65.7, 14
1 1 10, 80.0, 15
2 1 5, 82.4, 29

(5)
Diffraction record for Ga3CoNi12. The powder XRD pattern is computed, not measured: it uses DFT lattice parameters and positions (PBE) and Cu Kα, 1.54184 Å.
No peak broadening, texture or thermal motion is included.

Crystal structure
```
data_Ga3CoNi12
_chemical_formula_sum 'Ga3 Co1 Ni12'
_symmetry_space_group_name_H-M 'P 4/m m m'
_symmetry_Int_Tables_number 123
_symmetry_space_group_name_Hall '-P 4 2'
_cell_length_a 3.566
_cell_length_b 3.566
_cell_length_c 14.281
_cell_angle_alpha 90.00
_cell_angle_beta 90.00
_cell_angle_gamma 90.00
loop_
_atom_site_label
_atom_site_fract_x
_atom_site_fract_y
_atom_site_fract_z
_atom_site_occupancy
Ga1 0.000 0.000 0.000 1
Ga2 0.000 0.000 0.251 1
Co1 0.000 0.000 0.500 1
Ni1 0.000 0.500 0.126 1
Ni2 0.000 0.500 0.380 1
Ni3 0.500 0.500 0.000 1
Ni4 0.500 0.500 0.253 1
Ni5 0.500 0.500 0.500 1
```

Most intense lines, 10° ≤ 2θ ≤ 90°, in order of rising 2θ:
index, 2theta, I (rel.)
1 1 4, 44.0, 100
2 0 0, 51.2, 47
2 2 0, 75.4, 27

(6)
Diffraction record for Ga6CoNi23. The powder XRD pattern is computed, not measured: it uses DFT lattice parameters and positions (PBE) and Cu Kα, 1.54184 Å.
No peak broadening, texture or thermal motion is included.

Crystal structure
```
data_Ga6CoNi23
_chemical_formula_sum 'Ga12 Co2 Ni46'
_symmetry_space_group_name_H-M 'I 4/m m m'
_symmetry_Int_Tables_number 139
_symmetry_space_group_name_Hall '-I 4 2'
_cell_length_a 7.208
_cell_length_b 7.208
_cell_length_c 13.693
_cell_angle_alpha 90.00
_cell_angle_beta 90.00
_cell_angle_gamma 90.00
loop_
_atom_site_label
_atom_site_fract_x
_atom_site_fract_y
_atom_site_fract_z
_atom_site_occupancy
Ga1 0.000 0.000 0.250 1
Ga2 0.249 0.249 0.000 1
Co1 0.000 0.000 0.500 1
Ni1 0.000 0.000 0.000 1
Ni2 0.000 0.255 0.372 1
Ni3 0.000 0.256 0.129 1
Ni4 0.000 0.500 0.000 1
Ni5 0.250 0.250 0.250 1
```

Most intense lines, 10° ≤ 2θ ≤ 90°, in order of rising 2θ:
index, 2theta, I (rel.)
1 1 2, 21.7, 4
2 2 4, 44.3, 100
4 0 0, 50.7, 33
0 0 8, 53.5, 14
4 4 0, 74.5, 10
4 0 8, 76.8, 17

(7)
Diffraction record for Ga2CoNi2. The powder XRD pattern is computed, not measured: it uses DFT lattice parameters and positions (PBE) and Cu Kα, 1.54184 Å.
No peak broadening, texture or thermal motion is included.

Crystal structure
```
data_Ga2CoNi2
_chemical_formula_sum 'Ga4 Co2 Ni4'
_symmetry_space_group_name_H-M 'C m m m'
_symmetry_Int_Tables_number 65
_symmetry_space_group_name_Hall '-C 2 2'
_cell_length_a 2.815
_cell_length_b 15.698
_cell_length_c 2.812
_cell_angle_alpha 90.00
_cell_angle_beta 90.00
_cell_angle_gamma 90.00
loop_
_atom_site_label
_atom_site_fract_x
_atom_site_fract_y
_atom_site_fract_z
_atom_site_occupancy
Ga1 0.000 0.096 0.000 1
Co1 0.000 0.500 0.500 1
Ni1 0.000 0.314 0.500 1
```

Most intense lines, 10° ≤ 2θ ≤ 90°, in order of rising 2θ:
index, 2theta, I (rel.)
0 4 1, 39.4, 34
1 5 0, 43.2, 100
1 1 1, 46.0, 86
0 6 1, 47.5, 60
2 0 0, 66.5, 28
1 5 2, 82.6, 27